The following is a simulated PXRD pattern of La9Pr4Tm. It was derived from DFT lattice parameters and positions (PBE), using a wavelength of 1.5418 Å.
Neutral-atom scattering factors, no anomalous dispersion.

Atomic structure:
```
data_La9Pr4Tm
_chemical_formula_sum 'La18 Pr8 Tm2'
_cell_length_a 10.1224
_cell_length_b 10.1224
_cell_length_c 11.6472
_cell_angle_alpha 90.00
_cell_angle_beta 90.00
_cell_angle_gamma 120.00
_space_group_name_H-M_alt 'P 63/m m c'
_space_group_IT_number 194
_space_group_name_Hall '-P 6c 2c'
loop_
_atom_site_label
_atom_site_type_symbol
_atom_site_fract_x
_atom_site_fract_y
_atom_site_fract_z
La1 La 0.0783 0.5392 0.2500
La2 La 0.2075 0.4149 0.5307
Pr1 Pr 0.0000 0.0000 0.0000
Pr2 Pr 0.1148 0.2295 0.2500
Tm1 Tm 0.3333 0.6667 0.7500
```

Most intense lines, 2θ from 10° to 90°, in order of falling intensity:
Position (°2θ)  intensity
31.1  100
30.7  57
31.6  37
63.8  23
50.1  23
54.7  20
54.4  17
35.5  14
21.7  11
47.6  11

=====

The following is a simulated PXRD pattern of HgICl. It was derived from DFT lattice parameters and positions (PBE), using a wavelength of 1.5418 Å.
Neutral-atom scattering factors, no anomalous dispersion.

Atomic structure:
```
data_HgICl
_chemical_formula_sum 'Hg4 I4 Cl4'
_cell_length_a 8.256
_cell_length_b 8.578
_cell_length_c 8.049
_cell_angle_alpha 90.00
_cell_angle_beta 116.70
_cell_angle_gamma 90.00
_space_group_name_H-M_alt 'P 1 21/c 1'
_space_group_IT_number 14
_space_group_name_Hall '-P 2ybc'
loop_
_atom_site_label
_atom_site_type_symbol
_atom_site_fract_x
_atom_site_fract_y
_atom_site_fract_z
Hg1 Hg 0.160 0.209 0.166
I1 I 0.131 0.612 0.311
Cl1 Cl 0.401 0.206 0.608
```

Most intense lines, 2θ from 10° to 90°, in order of falling intensity:
Position (°2θ)  intensity
12.0  100
26.9  83
15.8  64
24.2  61
24.4  56
33.6  42
20.7  39
35.3  35
39.9  28
24.8  24

=====

The following is a simulated PXRD pattern of NdY3Rh2. It was derived from DFT lattice parameters and positions (PBE), using a wavelength of 1.5418 Å.
Neutral-atom scattering factors, no anomalous dispersion.

Atomic structure:
```
data_NdY3Rh2
_chemical_formula_sum 'Nd4 Y12 Rh8'
_cell_length_a 16.298
_cell_length_b 4.286
_cell_length_c 10.848
_cell_angle_alpha 90.00
_cell_angle_beta 116.43
_cell_angle_gamma 90.00
_space_group_name_H-M_alt 'C 1 2/m 1'
_space_group_IT_number 12
_space_group_name_Hall '-C 2y'
loop_
_atom_site_label
_atom_site_type_symbol
_atom_site_fract_x
_atom_site_fract_y
_atom_site_fract_z
Nd1 Nd 0.055 0.000 0.212
Y1 Y 0.075 0.500 0.668
Y2 Y 0.170 0.500 0.030
Y3 Y 0.212 0.000 0.593
Rh1 Rh 0.118 0.500 0.419
Rh2 Rh 0.138 0.000 0.846
```

Most intense lines, 2θ from 10° to 90°, in order of falling intensity:
Position (°2θ)  intensity
33.0  100
41.8  40
26.5  29
16.8  28
42.2  25
24.5  22
54.6  14
34.9  13
30.2  13
48.0  12

=====

The following is a simulated PXRD pattern of NaSi2H3O6. It was derived from DFT lattice parameters and positions (PBE), using a wavelength of 1.5418 Å.
Neutral-atom scattering factors, no anomalous dispersion.

Atomic structure:
```
data_NaSi2H3O6
_chemical_formula_sum 'Na16 Si32 H48 O96'
_cell_length_a 16.373
_cell_length_b 18.253
_cell_length_c 7.209
_cell_angle_alpha 90.00
_cell_angle_beta 90.00
_cell_angle_gamma 90.00
_space_group_name_H-M_alt 'F d d 2'
_space_group_IT_number 43
_space_group_name_Hall 'F 2 -2d'
loop_
_atom_site_label
_atom_site_type_symbol
_atom_site_fract_x
_atom_site_fract_y
_atom_site_fract_z
Na1 Na 0.110 0.487 0.000
Si1 Si 0.025 0.342 0.484
Si2 Si 0.103 0.226 0.239
H1 H 0.005 0.120 0.392
H2 H 0.016 0.113 0.611
H3 H 0.088 0.074 0.830
O1 O 0.008 0.085 0.493
O2 O 0.016 0.184 0.187
O3 O 0.042 0.144 0.827
O4 O 0.080 0.413 0.543
O5 O 0.089 0.274 0.430
O6 O 0.121 0.026 0.813
```

Most intense lines, 2θ from 10° to 90°, in order of falling intensity:
Position (°2θ)  intensity
29.3  100
25.2  95
28.8  46
14.3  43
19.9  35
14.5  34
26.6  26
40.3  24
39.0  17
54.2  16

=====

The following is a simulated PXRD pattern of Mo2Rh2C. It was derived from DFT lattice parameters and positions (PBE), using a wavelength of 1.5418 Å.
Neutral-atom scattering factors, no anomalous dispersion.

Atomic structure:
```
data_Mo2Rh2C
_chemical_formula_sum 'Mo6 Rh6 C3'
_cell_length_a 2.8806
_cell_length_b 2.8806
_cell_length_c 27.6668
_cell_angle_alpha 90.00
_cell_angle_beta 90.00
_cell_angle_gamma 120.00
_space_group_name_H-M_alt 'R -3 m'
_space_group_IT_number 166
_space_group_name_Hall '-R 3 2"'
loop_
_atom_site_label
_atom_site_type_symbol
_atom_site_fract_x
_atom_site_fract_y
_atom_site_fract_z
Mo1 Mo 0.0000 0.0000 0.1188
Rh1 Rh 0.0000 0.0000 0.3754
C1 C 0.0000 0.0000 0.5000
```

Most intense lines, 2θ from 10° to 90°, in order of falling intensity:
Position (°2θ)  intensity
38.4  100
44.8  68
39.1  29
64.7  23
78.3  22
65.7  18
77.8  12
82.1  11
79.2  9
83.9  2

=====

The following is a simulated PXRD pattern of Ac3Al3Zn8. It was derived from DFT lattice parameters and positions (PBE), using a wavelength of 1.5418 Å.
Neutral-atom scattering factors, no anomalous dispersion.

Atomic structure:
```
data_Ac3Al3Zn8
_chemical_formula_sum 'Ac6 Al6 Zn16'
_cell_length_a 16.708
_cell_length_b 4.666
_cell_length_c 9.354
_cell_angle_alpha 90.00
_cell_angle_beta 123.93
_cell_angle_gamma 90.00
_space_group_name_H-M_alt 'C 1 2/m 1'
_space_group_IT_number 12
_space_group_name_Hall '-C 2y'
loop_
_atom_site_label
_atom_site_type_symbol
_atom_site_fract_x
_atom_site_fract_y
_atom_site_fract_z
Ac1 Ac 0.000 0.000 0.000
Ac2 Ac 0.197 0.500 0.702
Al1 Al 0.000 0.000 0.500
Al2 Al 0.157 0.500 0.295
Zn1 Zn 0.000 0.500 0.301
Zn2 Zn 0.142 0.000 0.866
Zn3 Zn 0.148 0.000 0.424
Zn4 Zn 0.155 0.500 0.015
```

Most intense lines, 2θ from 10° to 90°, in order of falling intensity:
Position (°2θ)  intensity
33.3  100
34.6  47
38.6  44
21.3  42
21.4  31
33.6  26
52.9  20
39.0  16
32.2  16
27.2  15

=====

The following is a simulated PXRD pattern of Y2IrAu. It was derived from DFT lattice parameters and positions (PBE), using a wavelength of 1.5418 Å.
Neutral-atom scattering factors, no anomalous dispersion.

Atomic structure:
```
data_Y2IrAu
_chemical_formula_sum 'Y2 Ir1 Au1'
_cell_length_a 4.039
_cell_length_b 4.039
_cell_length_c 5.917
_cell_angle_alpha 90.00
_cell_angle_beta 90.00
_cell_angle_gamma 90.00
_space_group_name_H-M_alt 'P 4 m m'
_space_group_IT_number 99
_space_group_name_Hall 'P 4 -2'
loop_
_atom_site_label
_atom_site_type_symbol
_atom_site_fract_x
_atom_site_fract_y
_atom_site_fract_z
Y1 Y 0.000 0.000 0.000
Y2 Y 0.500 0.500 0.399
Ir1 Ir 0.500 0.500 0.925
Au1 Au 0.000 0.000 0.514
```

Most intense lines, 2θ from 10° to 90°, in order of falling intensity:
Position (°2θ)  intensity
31.3  100
44.1  54
30.2  38
44.9  37
26.7  37
37.7  36
55.1  28
84.7  19
60.0  19
82.2  18

=====

The following is a simulated PXRD pattern of Pr8CoGe3I4. It was derived from DFT lattice parameters and positions (PBE), using a wavelength of 1.5418 Å.
Neutral-atom scattering factors, no anomalous dispersion.

Atomic structure:
```
data_Pr8CoGe3I4
_chemical_formula_sum 'Pr16 Co2 Ge6 I8'
_cell_length_a 15.123
_cell_length_b 8.725
_cell_length_c 9.264
_cell_angle_alpha 90.00
_cell_angle_beta 123.02
_cell_angle_gamma 90.00
_space_group_name_H-M_alt 'C 1 2/m 1'
_space_group_IT_number 12
_space_group_name_Hall '-C 2y'
loop_
_atom_site_label
_atom_site_type_symbol
_atom_site_fract_x
_atom_site_fract_y
_atom_site_fract_z
Pr1 Pr 0.014 0.236 0.308
Pr2 Pr 0.222 0.000 0.693
Pr3 Pr 0.235 0.500 0.704
Co1 Co 0.000 0.000 0.500
Ge1 Ge 0.000 0.500 0.500
Ge2 Ge 0.250 0.250 0.500
I1 I 0.000 0.000 0.000
I2 I 0.000 0.500 0.000
I3 I 0.250 0.250 0.000
```

Most intense lines, 2θ from 10° to 90°, in order of falling intensity:
Position (°2θ)  intensity
28.1  100
41.4  39
39.0  28
50.8  19
30.5  17
67.5  15
55.0  13
58.2  8
34.6  8
73.9  8